Theoretical powder diffraction line list
Compound: TaCuTe6
Radiation: Cu Kα
Structure: a DFT-relaxed cell (PBE, Alexandria)

Most intense lines, 2θ = 5–70°, by angle:
2θ (°)	I_rel	hkl
17.6	42.8	1 0 0
26.4	46.3	1 0 2
28.4	44.3	1 -1 0
29.0	100.0	1 2 1
30.9	46.4	2 1 0
31.8	42.1	1 2 -1
32.2	63.6	1 -1 2
37.1	34.9	-1 1 1
41.7	38.0	2 1 3
45.9	38.2	0 3 -1

Structural model:
a = 6.476 Å, b = 6.784 Å, c = 6.830 Å
α = 86.36°, β = 63.63°, γ = 62.07°
Element x y z (fractional)
Ta 0.000 0.000 0.000
Cu 0.000 0.500 0.500
Te 0.125 0.580 0.813
Te 0.181 0.799 0.290
Te 0.490 0.098 0.307
Te 0.510 0.902 0.693
Te 0.819 0.201 0.710
Te 0.875 0.420 0.187